Record 1
The following is a computed powder diffractogram of Li5Mn3Cr2O10. It was derived from DFT lattice parameters and positions (PBE+U), using Cu Kα (weighted mean of Kα1 and Kα2).
Peak positions follow from Bragg's law for the DFT cell and can differ from measured ones.

Cell and atoms:
```
data_Li5Mn3Cr2O10
_cell_length_a 5.201
_cell_length_b 5.211
_cell_length_c 7.780
_cell_angle_alpha 103.64
_cell_angle_beta 108.14
_cell_angle_gamma 99.65
_space_group_name_H-M_alt 'P 1'
_space_group_IT_number 1
loop_
_space_group_symop_operation_xyz
'x,y,z'
loop_
_atom_site_label
_atom_site_fract_x
_atom_site_fract_y
_atom_site_fract_z
Li1 0.000 0.000 0.000
Li2 0.146 0.591 0.161
Li3 0.351 0.179 0.357
Li4 0.572 0.285 0.078
Li5 0.795 0.397 0.803
Mn1 0.176 0.089 0.683
Mn2 0.572 0.785 0.579
Mn3 0.966 0.480 0.473
Cr1 0.374 0.684 0.885
Cr2 0.768 0.886 0.272
O1 0.159 0.858 0.433
O2 0.186 0.333 0.914
O3 0.357 0.461 0.619
O4 0.388 0.920 0.129
O5 0.538 0.015 0.809
O6 0.603 0.555 0.348
O7 0.755 0.654 0.028
O8 0.786 0.108 0.538
O9 0.957 0.236 0.242
O10 0.983 0.710 0.722
```

Top 10 peaks for 2θ from 15° to 90°, low angle first:
(0 1 0), 18.15°, I = 40
(1 0 -1), 18.25°, I = 100
(1 -1 0), 22.38°, I = 25
(0 1 -2), 26.27°, I = 25
(0 2 -1), 34.98°, I = 35
(2 -1 1), 42.27°, I = 82
(1 2 -2), 42.57°, I = 78
(-1 1 3), 43.73°, I = 70
(1 -3 3), 61.49°, I = 24
(0 3 1), 62.29°, I = 39

Record 2
The following is a computed powder diffractogram of Li4MnCrO6. It was derived from DFT lattice parameters and positions (PBE+U), using Cu Kα (weighted mean of Kα1 and Kα2).
Peak positions follow from Bragg's law for the DFT cell and can differ from measured ones.

Cell and atoms:
```
data_Li4MnCrO6
_cell_length_a 5.045
_cell_length_b 8.646
_cell_length_c 19.292
_cell_angle_alpha 90.00
_cell_angle_beta 95.61
_cell_angle_gamma 90.00
_space_group_name_H-M_alt 'C 1 2 1'
_space_group_IT_number 5
loop_
_space_group_symop_operation_xyz
'x,y,z'
'-x,y,-z'
'x+1/2,y+1/2,z'
'-x+1/2,y+1/2,-z'
loop_
_atom_site_label
_atom_site_fract_x
_atom_site_fract_y
_atom_site_fract_z
Li1 0.000 0.000 0.000
Li2 0.000 0.496 0.500
Li3 0.117 0.337 0.375
Li4 0.123 0.837 0.875
Li5 0.125 0.998 0.375
Li6 0.126 0.499 0.875
Li7 0.127 0.159 0.875
Li8 0.133 0.659 0.375
Li9 0.250 0.001 0.750
Mn1 0.000 0.166 0.500
Mn2 0.000 0.331 0.000
Mn3 0.250 0.331 0.750
Cr1 0.000 0.669 0.000
Cr2 0.000 0.827 0.500
Cr3 0.249 0.669 0.750
O1 0.051 0.317 0.194
O2 0.051 0.818 0.694
O3 0.057 0.177 0.693
O4 0.057 0.678 0.193
O5 0.089 0.998 0.193
O6 0.090 0.498 0.693
O7 0.160 0.999 0.557
O8 0.161 0.498 0.057
O9 0.193 0.177 0.057
O10 0.193 0.319 0.557
O11 0.199 0.679 0.556
O12 0.199 0.818 0.056
```

Top 10 peaks for 2θ from 15° to 90°, low angle first:
(0 0 4), 18.49°, I = 100
(0 2 0), 20.54°, I = 22
(1 1 1), 21.36°, I = 33
(1 1 -3), 23.77°, I = 24
(0 2 4), 27.77°, I = 17
(1 3 1), 36.48°, I = 22
(2 0 -6), 43.59°, I = 38
(1 3 5), 44.19°, I = 68
(1 3 -11), 63.51°, I = 18
(3 3 -1), 64.12°, I = 18